(1)
# K4MgMn4O8
Theoretical X-ray diffraction stick pattern, CuKα. Input: the PBE+U geometry in the Materials Project.
Kinematic intensities with the Lorentz-polarization factor, no thermal factor.

The 6 most intense peaks (10° ≤ 2θ ≤ 90°), low angle first:
2θ/deg, Rel. int.
15.2, 71.6
25.4, 43.1
28.7, 54.2
30.8, 100.0
38.7, 77.0
38.8, 53.0

Structural model:
```
data_K4MgMn4O8
_cell_length_a 6.571
_cell_length_b 6.572
_cell_length_c 7.756
_cell_angle_alpha 114.91
_cell_angle_beta 114.91
_cell_angle_gamma 90.18
_space_group_name_H-M_alt 'P 1'
_space_group_IT_number 1
loop_
_space_group_symop_operation_xyz
'x,y,z'
loop_
_atom_site_label
_atom_site_type_symbol
_atom_site_fract_x
_atom_site_fract_y
_atom_site_fract_z
K1 K 0.000 0.000 0.000
K2 K 0.031 0.049 0.565
K3 K 0.470 0.003 0.474
K4 K 0.955 0.469 0.907
Mg1 Mg 0.361 0.628 0.736
Mn1 Mn 0.439 0.468 0.381
Mn2 Mn 0.543 0.540 0.068
Mn3 Mn 0.557 0.061 0.091
Mn4 Mn 0.941 0.478 0.405
O1 O 0.206 0.314 0.470
O2 O 0.222 0.711 0.499
O3 O 0.315 0.739 0.003
O4 O 0.325 0.303 0.047
O5 O 0.681 0.726 0.972
O6 O 0.723 0.685 0.416
O7 O 0.725 0.279 0.425
O8 O 0.739 0.311 0.057
```

***

(2)
# EuMgFeO3
Theoretical X-ray diffraction stick pattern, CuKα. Input: the PBE+U geometry in the Materials Project.
Kinematic intensities with the Lorentz-polarization factor, no thermal factor.

The 6 most intense peaks (10° ≤ 2θ ≤ 90°), low angle first:
2θ/deg, Rel. int.
20.1, 41.2
27.0, 29.6
30.3, 100.0
30.9, 22.2
43.7, 29.5
44.1, 29.0

Structural model:
```
data_EuMgFeO3
_cell_length_a 4.442
_cell_length_b 4.474
_cell_length_c 4.492
_cell_angle_alpha 82.36
_cell_angle_beta 82.63
_cell_angle_gamma 82.76
_space_group_name_H-M_alt 'P 1'
_space_group_IT_number 1
loop_
_space_group_symop_operation_xyz
'x,y,z'
loop_
_atom_site_label
_atom_site_type_symbol
_atom_site_fract_x
_atom_site_fract_y
_atom_site_fract_z
Eu1 Eu 0.000 0.000 0.000
Mg1 Mg 0.626 0.621 0.619
Fe1 Fe 0.334 0.330 0.329
O1 O 0.355 0.349 0.850
O2 O 0.355 0.850 0.348
O3 O 0.854 0.351 0.350
```

***

(3)
# Li3Mn4B4O12
Theoretical X-ray diffraction stick pattern, CuKα. Input: the PBE+U geometry in the Materials Project.
Kinematic intensities with the Lorentz-polarization factor, no thermal factor.

The 6 most intense peaks (10° ≤ 2θ ≤ 90°), low angle first:
2θ/deg, Rel. int.
20.2, 99.7
21.9, 53.5
22.8, 80.3
34.2, 100.0
40.5, 39.9
51.2, 37.6

Structural model:
```
data_Li3Mn4B4O12
_cell_length_a 7.905
_cell_length_b 8.293
_cell_length_c 9.193
_cell_angle_alpha 66.60
_cell_angle_beta 65.77
_cell_angle_gamma 80.33
_space_group_name_H-M_alt 'P -1'
_space_group_IT_number 2
loop_
_space_group_symop_operation_xyz
'x,y,z'
'-x,-y,-z'
loop_
_atom_site_label
_atom_site_type_symbol
_atom_site_fract_x
_atom_site_fract_y
_atom_site_fract_z
Li1 Li 0.134 0.049 0.348
Li2 Li 0.360 0.452 0.654
Li3 Li 0.361 0.793 0.864
Mn1 Mn 0.073 0.676 0.483
Mn2 Mn 0.172 0.078 0.002
Mn3 Mn 0.316 0.423 0.009
Mn4 Mn 0.424 0.830 0.495
B1 B 0.080 0.679 0.823
B2 B 0.169 0.059 0.673
B3 B 0.335 0.423 0.336
B4 B 0.426 0.826 0.159
O1 O 0.065 0.077 0.829
O2 O 0.094 0.236 0.155
O3 O 0.098 0.100 0.547
O4 O 0.153 0.638 0.944
O5 O 0.155 0.490 0.369
O6 O 0.179 0.651 0.669
O7 O 0.311 0.849 0.316
O8 O 0.348 0.987 0.648
O9 O 0.367 0.875 0.029
O10 O 0.399 0.257 0.852
O11 O 0.414 0.394 0.454
O12 O 0.437 0.393 0.183
```

***

(4)
# ZnCr2Cu2O8
Theoretical X-ray diffraction stick pattern, CuKα. Input: the PBE+U geometry in the Materials Project.
Kinematic intensities with the Lorentz-polarization factor, no thermal factor.

The 6 most intense peaks (10° ≤ 2θ ≤ 90°), low angle first:
2θ/deg, Rel. int.
20.1, 63.9
29.5, 66.4
30.0, 100.0
30.6, 88.9
33.2, 83.0
34.2, 56.1

Structural model:
```
data_ZnCr2Cu2O8
_cell_length_a 6.483
_cell_length_b 8.320
_cell_length_c 11.929
_cell_angle_alpha 90.00
_cell_angle_beta 90.60
_cell_angle_gamma 90.00
_space_group_name_H-M_alt 'P 1 21/c 1'
_space_group_IT_number 14
loop_
_space_group_symop_operation_xyz
'x,y,z'
'-x,-y,-z'
'-x,y+1/2,-z+1/2'
'x,-y+1/2,z+1/2'
loop_
_atom_site_label
_atom_site_type_symbol
_atom_site_fract_x
_atom_site_fract_y
_atom_site_fract_z
Zn1 Zn 0.115 0.159 0.048
Cr1 Cr 0.103 0.039 0.347
Cr2 Cr 0.389 0.589 0.368
Cu1 Cu 0.246 0.685 0.627
Cu2 Cu 0.383 0.059 0.635
O1 O 0.037 0.226 0.393
O2 O 0.079 0.098 0.616
O3 O 0.121 0.036 0.208
O4 O 0.186 0.581 0.473
O5 O 0.319 0.633 0.227
O6 O 0.330 0.512 0.902
O7 O 0.409 0.220 0.085
O8 O 0.483 0.103 0.860
```

***

(5)
# MgNi4O8
Theoretical X-ray diffraction stick pattern, CuKα. Input: the PBE+U geometry in the Materials Project.
Kinematic intensities with the Lorentz-polarization factor, no thermal factor.

The 6 most intense peaks (10° ≤ 2θ ≤ 90°), low angle first:
2θ/deg, Rel. int.
11.4, 100.0
12.0, 79.3
16.0, 71.7
17.2, 25.7
36.7, 18.7
37.0, 37.4

Structural model:
```
data_MgNi4O8
_cell_length_a 14.731
_cell_length_b 2.818
_cell_length_c 10.336
_cell_angle_alpha 90.00
_cell_angle_beta 131.22
_cell_angle_gamma 90.00
_space_group_name_H-M_alt 'C 1 m 1'
_space_group_IT_number 8
loop_
_space_group_symop_operation_xyz
'x,y,z'
'x,-y,z'
'x+1/2,y+1/2,z'
'x+1/2,-y+1/2,z'
loop_
_atom_site_label
_atom_site_type_symbol
_atom_site_fract_x
_atom_site_fract_y
_atom_site_fract_z
Mg1 Mg 0.000 0.000 0.000
Ni1 Ni 0.157 0.000 0.960
Ni2 Ni 0.214 0.500 0.344
Ni3 Ni 0.289 0.500 0.889
Ni4 Ni 0.367 0.000 0.662
O1 O 0.039 0.500 0.887
O2 O 0.177 0.000 0.195
O3 O 0.180 0.000 0.780
O4 O 0.210 0.000 0.461
O5 O 0.268 0.500 0.045
O6 O 0.340 0.500 0.754
O7 O 0.391 0.500 0.570
O8 O 0.407 0.000 0.017
```